For KTl2Zn, DFT lattice parameters and positions (GGA-PBE) gives the computed XRD peak list in this record (λ = 1.5418 Å (Cu Kα)).

Main lines, low angle first (5 to 70 degrees two-theta):
2θ = 11.13°, 7.952 Å, I 77; 2θ = 20.36°, 4.363 Å, I 60; 2θ = 30.42°, 2.939 Å, I 100; 2θ = 31.24°, 2.863 Å, I 69; 2θ = 33.22°, 2.697 Å, I 75; 2θ = 36.65°, 2.452 Å, I 51; 2θ = 37.57°, 2.394 Å, I 31; 2θ = 39.79°, 2.265 Å, I 39; 2θ = 41.39°, 2.181 Å, I 32; 2θ = 52.76°, 1.735 Å, I 32

Structure:
abc: 3.488 4.363 8.082
angles: 90.00 100.28 90.00
Positions (direct):
1 K 0.000 0.000 0.000
2 Tl 0.383 0.500 0.695
3 Tl 0.617 0.500 0.305
4 Zn 0.000 0.000 0.500

---

For LiPr2Os2N6, DFT lattice parameters and positions (GGA-PBE) gives the computed XRD peak list in this record (λ = 1.5418 Å (Cu Kα)).

Main lines, low angle first (5 to 70 degrees two-theta):
2θ = 18.64°, 4.760 Å, I 21; 2θ = 27.19°, 3.279 Å, I 6; 2θ = 30.61°, 2.921 Å, I 7; 2θ = 31.30°, 2.857 Å, I 100; 2θ = 44.37°, 2.042 Å, I 8; 2θ = 44.86°, 2.021 Å, I 21; 2θ = 55.70°, 1.650 Å, I 30; 2θ = 55.76°, 1.649 Å, I 10; 2θ = 65.26°, 1.430 Å, I 5; 2θ = 65.37°, 1.428 Å, I 8

Structure:
abc: 6.708 6.708 6.708
angles: 50.39 50.39 50.39
Positions (direct):
1 Li 0.000 0.000 0.000
2 Pr 0.210 0.210 0.210
3 Pr 0.790 0.790 0.790
4 Os 0.399 0.399 0.399
5 Os 0.601 0.601 0.601
6 N 0.227 0.744 0.744
7 N 0.256 0.256 0.773
8 N 0.256 0.773 0.256
9 N 0.744 0.227 0.744
10 N 0.744 0.744 0.227
11 N 0.773 0.256 0.256

---

For Y2Al2Ga3, DFT lattice parameters and positions (GGA-PBE) gives the computed XRD peak list in this record (λ = 1.5418 Å (Cu Kα)).

Main lines, low angle first (5 to 70 degrees two-theta):
2θ = 24.70°, 3.604 Å, I 11; 2θ = 31.04°, 2.881 Å, I 11; 2θ = 33.07°, 2.709 Å, I 64; 2θ = 34.27°, 2.617 Å, I 100; 2θ = 38.18°, 2.357 Å, I 10; 2θ = 42.21°, 2.141 Å, I 26; 2θ = 42.99°, 2.104 Å, I 27; 2θ = 47.64°, 1.909 Å, I 15; 2θ = 61.83°, 1.501 Å, I 16; 2θ = 66.09°, 1.414 Å, I 11

Structure:
abc: 9.662 9.662 7.209
angles: 90.00 90.00 154.85
Positions (direct):
1 Y 0.055 0.945 0.750
2 Y 0.154 0.846 0.250
3 Y 0.846 0.154 0.750
4 Y 0.945 0.055 0.250
5 Al 0.321 0.679 0.066
6 Al 0.321 0.679 0.434
7 Al 0.679 0.321 0.566
8 Al 0.679 0.321 0.934
9 Ga 0.227 0.773 0.750
10 Ga 0.443 0.557 0.577
11 Ga 0.443 0.557 0.923
12 Ga 0.557 0.443 0.077
13 Ga 0.557 0.443 0.423
14 Ga 0.773 0.227 0.250

---

For Zr4Mo3, DFT lattice parameters and positions (GGA-PBE) gives the computed XRD peak list in this record (λ = 1.5418 Å (Cu Kα)).

Main lines, low angle first (5 to 70 degrees two-theta):
2θ = 30.89°, 2.895 Å, I 17; 2θ = 34.13°, 2.627 Å, I 33; 2θ = 36.80°, 2.442 Å, I 100; 2θ = 37.60°, 2.392 Å, I 59; 2θ = 39.61°, 2.275 Å, I 43; 2θ = 42.70°, 2.118 Å, I 64; 2θ = 59.43°, 1.555 Å, I 10; 2θ = 62.85°, 1.479 Å, I 40; 2θ = 63.18°, 1.472 Å, I 26; 2θ = 63.39°, 1.467 Å, I 12

Structure:
abc: 5.255 5.255 5.789
angles: 90.00 90.00 120.00
Positions (direct):
1 Zr 0.000 0.000 0.238
2 Zr 0.000 0.000 0.762
3 Zr 0.333 0.667 0.000
4 Zr 0.667 0.333 0.000
5 Mo 0.000 0.500 0.500
6 Mo 0.500 0.000 0.500
7 Mo 0.500 0.500 0.500

---

For NaLa2Cd4, DFT lattice parameters and positions (GGA-PBE) gives the computed XRD peak list in this record (λ = 1.5418 Å (Cu Kα)).

Main lines, low angle first (5 to 70 degrees two-theta):
2θ = 11.95°, 7.405 Å, I 24; 2θ = 24.03°, 3.703 Å, I 35; 2θ = 32.27°, 2.774 Å, I 100; 2θ = 32.51°, 2.754 Å, I 100; 2θ = 33.31°, 2.690 Å, I 61; 2θ = 36.73°, 2.447 Å, I 22; 2θ = 36.97°, 2.432 Å, I 38; 2θ = 37.29°, 2.411 Å, I 27; 2θ = 50.86°, 1.795 Å, I 21; 2θ = 58.87°, 1.569 Å, I 25

Structure:
abc: 5.618 5.618 7.572
angles: 100.57 100.57 57.22
Positions (direct):
1 Na 0.000 0.000 0.000
2 La 0.300 0.300 0.804
3 La 0.700 0.700 0.196
4 Cd 0.099 0.099 0.392
5 Cd 0.392 0.392 0.306
6 Cd 0.608 0.608 0.694
7 Cd 0.901 0.901 0.608

---

For AlCuSi, DFT lattice parameters and positions (GGA-PBE) gives the computed XRD peak list in this record (λ = 1.5418 Å (Cu Kα)).

Main lines, low angle first (5 to 70 degrees two-theta):
2θ = 15.88°, 5.580 Å, I 100; 2θ = 31.02°, 2.883 Å, I 21; 2θ = 38.30°, 2.350 Å, I 66; 2θ = 38.62°, 2.331 Å, I 63; 2θ = 38.74°, 2.324 Å, I 62; 2θ = 47.16°, 1.927 Å, I 96; 2θ = 47.91°, 1.899 Å, I 56; 2θ = 48.97°, 1.860 Å, I 26; 2θ = 62.22°, 1.492 Å, I 15; 2θ = 63.27°, 1.470 Å, I 9

Structure:
abc: 2.984 5.182 5.772
angles: 90.00 104.80 90.00
Positions (direct):
1 Al 0.160 0.250 0.320
2 Al 0.840 0.750 0.680
3 Cu 0.500 0.000 0.000
4 Cu 0.500 0.500 0.000
5 Si 0.142 0.750 0.284
6 Si 0.858 0.250 0.716